Record 1
MnNb4O12: computed powder diffraction line list (Cu Kα (weighted mean of Kα1 and Kα2)), based on a DFT-relaxed cell (PBE+U, the Materials Project).

Structural model:
```
data_MnNb4O12
_cell_length_a 7.626
_cell_length_b 7.681
_cell_length_c 9.083
_cell_angle_alpha 67.39
_cell_angle_beta 66.48
_cell_angle_gamma 85.03
_space_group_name_H-M_alt 'P 1'
_space_group_IT_number 1
_space_group_name_Hall 'P 1'
loop_
_atom_site_label
_atom_site_type_symbol
_atom_site_fract_x
_atom_site_fract_y
_atom_site_fract_z
Mn1 Mn 0.000 0.000 0.000
Mn2 Mn 0.500 0.500 0.000
Nb1 Nb 0.195 0.203 0.205
Nb2 Nb 0.207 0.714 0.218
Nb3 Nb 0.467 0.940 0.708
Nb4 Nb 0.473 0.450 0.684
Nb5 Nb 0.695 0.703 0.205
Nb6 Nb 0.707 0.214 0.219
Nb7 Nb 0.966 0.440 0.708
Nb8 Nb 0.973 0.950 0.684
O1 O 0.006 0.698 0.739
O2 O 0.007 0.732 0.121
O3 O 0.044 0.639 0.445
O4 O 0.165 0.049 0.431
O5 O 0.179 0.013 0.112
O6 O 0.185 0.000 0.785
O7 O 0.251 0.448 0.646
O8 O 0.274 0.461 0.219
O9 O 0.321 0.422 0.941
O10 O 0.435 0.758 0.944
O11 O 0.445 0.775 0.241
O12 O 0.454 0.756 0.632
O13 O 0.506 0.198 0.740
O14 O 0.507 0.231 0.121
O15 O 0.545 0.139 0.445
O16 O 0.666 0.549 0.431
O17 O 0.680 0.513 0.112
O18 O 0.685 0.500 0.784
O19 O 0.751 0.948 0.646
O20 O 0.775 0.961 0.219
O21 O 0.821 0.921 0.941
O22 O 0.935 0.258 0.944
O23 O 0.945 0.275 0.240
O24 O 0.955 0.256 0.632
```

Largest 6 diffraction maxima, sorted by position, 10 to 90 degrees two-theta:
(hkl), d [Å], Rel. int.
0 0 2, 3.846, 98
0 2 1, 3.813, 97
2 0 1, 3.792, 100
0 2 -1, 2.827, 45
2 2 2, 2.805, 42
2 0 -1, 2.785, 42


Record 2
LaMgTaFeO6: computed powder diffraction line list (Cu Kα (weighted mean of Kα1 and Kα2)), based on a DFT-relaxed cell (PBE+U, the Materials Project).

Structural model:
```
data_LaMgTaFeO6
_cell_length_a 5.454
_cell_length_b 5.619
_cell_length_c 9.687
_cell_angle_alpha 90.00
_cell_angle_beta 123.98
_cell_angle_gamma 90.00
_space_group_name_H-M_alt 'P 1 c 1'
_space_group_IT_number 7
_space_group_name_Hall 'P -2yc'
loop_
_atom_site_label
_atom_site_type_symbol
_atom_site_fract_x
_atom_site_fract_y
_atom_site_fract_z
La1 La 0.000 0.201 0.000
Mg1 Mg 0.473 0.304 0.507
Ta1 Ta 0.238 0.260 0.748
Fe1 Fe 0.742 0.246 0.249
O1 O 0.018 0.466 0.807
O2 O 0.149 0.047 0.321
O3 O 0.377 0.475 0.175
O4 O 0.486 0.066 0.689
O5 O 0.575 0.316 0.984
O6 O 0.864 0.215 0.519
```

Largest 6 diffraction maxima, sorted by position, 10 to 90 degrees two-theta:
(hkl), d [Å], Rel. int.
0 1 1, 4.604, 47
1 0 0, 4.514, 46
1 1 1, 2.808, 100
1 1 -3, 2.798, 71
2 2 -2, 1.957, 31
2 0 2, 1.621, 31


Record 3
Ba2V2Te2O11: computed powder diffraction line list (Cu Kα (weighted mean of Kα1 and Kα2)), based on a DFT-relaxed cell (PBE+U, the Materials Project).

Structural model:
```
data_Ba2V2Te2O11
_cell_length_a 7.697
_cell_length_b 7.787
_cell_length_c 9.710
_cell_angle_alpha 90.00
_cell_angle_beta 93.64
_cell_angle_gamma 90.00
_space_group_name_H-M_alt 'P 1 21/m 1'
_space_group_IT_number 11
_space_group_name_Hall '-P 2yb'
loop_
_atom_site_label
_atom_site_type_symbol
_atom_site_fract_x
_atom_site_fract_y
_atom_site_fract_z
Ba1 Ba 0.131 0.250 0.358
Ba2 Ba 0.134 0.750 0.072
V1 V 0.316 0.750 0.488
V2 V 0.390 0.250 0.077
Te1 Te 0.287 0.036 0.740
O1 O 0.081 0.520 0.821
O2 O 0.193 0.250 0.648
O3 O 0.196 0.567 0.552
O4 O 0.296 0.075 0.144
O5 O 0.320 0.750 0.315
O6 O 0.338 0.250 0.890
O7 O 0.384 0.750 0.880
O8 O 0.483 0.250 0.436
```

Largest 6 diffraction maxima, sorted by position, 10 to 90 degrees two-theta:
(hkl), d [Å], Rel. int.
2 0 0, 3.841, 31
1 1 2, 3.548, 60
2 1 -1, 3.303, 100
1 2 1, 3.240, 45
1 0 -3, 3.047, 36
0 2 2, 3.035, 41


Record 4
Cu4MoW3O16: computed powder diffraction line list (Cu Kα (weighted mean of Kα1 and Kα2)), based on a DFT-relaxed cell (PBE+U, the Materials Project).

Structural model:
```
data_Cu4MoW3O16
_cell_length_a 4.971
_cell_length_b 7.091
_cell_length_c 8.136
_cell_angle_alpha 102.82
_cell_angle_beta 94.46
_cell_angle_gamma 90.07
_space_group_name_H-M_alt 'P 1'
_space_group_IT_number 1
_space_group_name_Hall 'P 1'
loop_
_atom_site_label
_atom_site_type_symbol
_atom_site_fract_x
_atom_site_fract_y
_atom_site_fract_z
Cu1 Cu 0.000 0.000 0.000
Cu2 Cu 0.001 0.498 0.497
Cu3 Cu 0.510 0.836 0.150
Cu4 Cu 0.511 0.337 0.651
Mo1 Mo 0.003 0.496 0.980
W1 W 0.001 0.995 0.484
W2 W 0.509 0.840 0.666
W3 W 0.510 0.342 0.168
O1 O 0.161 0.245 0.519
O2 O 0.161 0.744 0.020
O3 O 0.200 0.982 0.726
O4 O 0.203 0.481 0.228
O5 O 0.306 0.354 0.924
O6 O 0.310 0.854 0.425
O7 O 0.348 0.090 0.130
O8 O 0.348 0.591 0.631
O9 O 0.683 0.366 0.377
O10 O 0.683 0.585 0.120
O11 O 0.684 0.867 0.875
O12 O 0.685 0.086 0.621
O13 O 0.825 0.249 0.029
O14 O 0.825 0.749 0.529
O15 O 0.827 0.469 0.775
O16 O 0.827 0.968 0.275
```

Largest 6 diffraction maxima, sorted by position, 10 to 90 degrees two-theta:
(hkl), d [Å], Rel. int.
0 1 1, 4.711, 54
0 2 0, 3.457, 53
1 0 -2, 3.219, 100
1 0 2, 2.977, 78
1 -2 0, 2.861, 63
1 2 0, 2.810, 55


Record 5
Li2MoO3: computed powder diffraction line list (Cu Kα (weighted mean of Kα1 and Kα2)), based on a DFT-relaxed cell (PBE+U, the Materials Project).

Structural model:
```
data_Li2MoO3
_cell_length_a 6.163
_cell_length_b 8.668
_cell_length_c 10.412
_cell_angle_alpha 66.73
_cell_angle_beta 73.40
_cell_angle_gamma 89.75
_space_group_name_H-M_alt 'P -1'
_space_group_IT_number 2
_space_group_name_Hall '-P 1'
loop_
_atom_site_label
_atom_site_type_symbol
_atom_site_fract_x
_atom_site_fract_y
_atom_site_fract_z
Li1 Li 0.000 0.000 0.000
Li2 Li 0.000 0.000 0.500
Li3 Li 0.000 0.500 0.000
Li4 Li 0.000 0.500 0.500
Li5 Li 0.155 0.162 0.160
Li6 Li 0.162 0.156 0.681
Li7 Li 0.326 0.837 0.837
Li8 Li 0.328 0.325 0.839
Li9 Li 0.332 0.837 0.327
Li10 Li 0.500 0.500 0.000
Li11 Li 0.500 0.500 0.500
Mo1 Mo 0.158 0.673 0.159
Mo2 Mo 0.166 0.668 0.668
Mo3 Mo 0.331 0.334 0.332
Mo4 Mo 0.500 0.000 0.000
Mo5 Mo 0.500 0.000 0.500
O1 O 0.006 0.744 0.008
O2 O 0.007 0.260 0.484
O3 O 0.150 0.426 0.674
O4 O 0.163 0.418 0.167
O5 O 0.172 0.903 0.666
O6 O 0.180 0.918 0.160
O7 O 0.320 0.573 0.327
O8 O 0.334 0.099 0.335
O9 O 0.346 0.590 0.817
O10 O 0.355 0.074 0.848
O11 O 0.482 0.756 0.010
O12 O 0.497 0.748 0.503
```

Largest 6 diffraction maxima, sorted by position, 10 to 90 degrees two-theta:
(hkl), d [Å], Rel. int.
1 -1 0, 5.019, 40
0 1 2, 4.909, 100
0 3 0, 2.633, 22
2 0 -2, 2.176, 29
0 4 2, 2.166, 28
2 0 4, 2.146, 27


Record 6
LiMnB2O5: computed powder diffraction line list (Cu Kα (weighted mean of Kα1 and Kα2)), based on a DFT-relaxed cell (PBE+U, the Materials Project).

Structural model:
```
data_LiMnB2O5
_cell_length_a 6.741
_cell_length_b 9.475
_cell_length_c 6.493
_cell_angle_alpha 90.00
_cell_angle_beta 106.24
_cell_angle_gamma 90.00
_space_group_name_H-M_alt 'P 1 21/c 1'
_space_group_IT_number 14
_space_group_name_Hall '-P 2ybc'
loop_
_atom_site_label
_atom_site_type_symbol
_atom_site_fract_x
_atom_site_fract_y
_atom_site_fract_z
Li1 Li 0.245 0.188 0.300
Mn1 Mn 0.181 0.561 0.182
B1 B 0.141 0.631 0.706
B2 B 0.494 0.548 0.723
O1 O 0.042 0.743 0.176
O2 O 0.091 0.518 0.819
O3 O 0.309 0.613 0.621
O4 O 0.321 0.119 0.744
O5 O 0.480 0.592 0.217
```

Largest 6 diffraction maxima, sorted by position, 10 to 90 degrees two-theta:
(hkl), d [Å], Rel. int.
1 1 0, 5.344, 43
0 2 0, 4.738, 68
1 1 -1, 4.619, 100
0 0 2, 3.117, 94
1 3 0, 2.838, 36
3 2 -1, 2.028, 34


Record 7
LiP2WO8: computed powder diffraction line list (Cu Kα (weighted mean of Kα1 and Kα2)), based on a DFT-relaxed cell (PBE+U, the Materials Project).

Structural model:
```
data_LiP2WO8
_cell_length_a 4.896
_cell_length_b 8.836
_cell_length_c 15.621
_cell_angle_alpha 90.00
_cell_angle_beta 91.93
_cell_angle_gamma 90.00
_space_group_name_H-M_alt 'P 1 21/c 1'
_space_group_IT_number 14
_space_group_name_Hall '-P 2ybc'
loop_
_atom_site_label
_atom_site_type_symbol
_atom_site_fract_x
_atom_site_fract_y
_atom_site_fract_z
Li1 Li 0.038 0.195 0.070
P1 P 0.352 0.107 0.766
P2 P 0.391 0.715 0.578
W1 W 0.123 0.059 0.344
O1 O 0.002 0.595 0.904
O2 O 0.101 0.001 0.766
O3 O 0.178 0.708 0.133
O4 O 0.271 0.226 0.258
O5 O 0.280 0.644 0.497
O6 O 0.360 0.179 0.434
O7 O 0.448 0.566 0.803
O8 O 0.492 0.079 0.860
```

Largest 6 diffraction maxima, sorted by position, 10 to 90 degrees two-theta:
(hkl), d [Å], Rel. int.
0 0 2, 7.806, 60
0 1 1, 7.690, 88
0 1 2, 5.850, 85
0 1 3, 4.484, 100
1 1 1, 4.096, 80
1 1 -3, 3.355, 54